Theoretical XRD peak list
Compound: Y2ScRh3
Radiation: Cu Kα
Structure: a structure optimized by DFT (PBE)

Atomic structure:
```
6
Lattice="3.364 0.000 0.000 0.000 3.364 0.000 0.000 0.000 10.142" Properties=species:S:1:pos:R:3 pbc="T T T"
Y 0.000 0.000 1.750
Y 0.000 0.000 8.392
Sc 0.000 0.000 5.071
Rh 1.682 1.682 0.000
Rh 1.682 1.682 3.531
Rh 1.682 1.682 6.611
```

Most intense lines, 2θ = 10–90°, by angle:
- 26.50 deg, I 2
- 31.93 deg, I 3
- 37.76 deg, I 100
- 54.27 deg, I 5
- 54.57 deg, I 11
- 59.93 deg, I 2
- 68.04 deg, I 10
- 68.24 deg, I 22
- 80.57 deg, I 6
- 80.82 deg, I 4

Theoretical XRD peak list
Compound: Sc2ZnRh
Radiation: Cu Kα
Structure: a structure optimized by DFT (PBE)

Atomic structure:
```
4
Lattice="3.280 0.000 0.000 0.000 3.280 0.000 0.000 0.000 6.648" Properties=species:S:1:pos:R:3 pbc="T T T"
Sc 0.000 0.000 1.571
Sc 0.000 0.000 5.077
Zn 1.640 1.640 3.324
Rh 1.640 1.640 0.000
```

Most intense lines, 2θ = 10–90°, by angle:
- 13.32 deg, I 9
- 26.82 deg, I 7
- 27.18 deg, I 14
- 38.56 deg, I 100
- 38.82 deg, I 50
- 55.27 deg, I 8
- 56.07 deg, I 16
- 69.59 deg, I 15
- 70.12 deg, I 31
- 82.66 deg, I 9

Theoretical XRD peak list
Compound: Sc2Zn2Rh
Radiation: Cu Kα
Structure: a structure optimized by DFT (PBE)

Atomic structure:
```
10
Lattice="3.945 0.000 0.000 0.000 13.852 0.000 0.000 0.000 3.164" Properties=species:S:1:pos:R:3 pbc="T T T"
Sc 0.000 1.478 0.000
Sc 0.000 12.374 0.000
Sc 1.973 5.448 0.000
Sc 1.973 8.404 0.000
Zn 0.000 4.185 1.582
Zn 0.000 9.667 1.582
Zn 1.973 2.741 1.582
Zn 1.973 11.111 1.582
Rh 0.000 6.926 1.582
Rh 1.973 0.000 1.582
```

Most intense lines, 2θ = 10–90°, by angle:
- 23.45 deg, I 22
- 28.20 deg, I 26
- 36.99 deg, I 100
- 38.54 deg, I 45
- 39.76 deg, I 93
- 46.01 deg, I 31
- 48.83 deg, I 21
- 49.46 deg, I 23
- 61.53 deg, I 21
- 72.91 deg, I 28

Theoretical XRD peak list
Compound: ScZn11Rh
Radiation: Cu Kα
Structure: a structure optimized by DFT (PBE)

Atomic structure:
```
13
Lattice="2.582 -6.296 0.000 2.582 6.296 0.000 -2.399 0.000 6.156" Properties=species:S:1:pos:R:3 pbc="T T T"
Sc 0.000 0.000 0.000
Zn 1.291 3.148 0.000
Zn 0.200 4.126 3.996
Zn 0.138 1.341 4.856
Zn 2.565 4.126 2.160
Zn 1.291 -3.148 0.000
Zn 0.138 -1.341 4.856
Zn 1.383 0.000 3.078
Zn 2.627 1.341 1.301
Zn 0.200 -4.126 3.996
Zn 2.627 -1.341 1.301
Zn 2.565 -4.126 2.160
Rh -1.200 0.000 3.078
```

Most intense lines, 2θ = 10–90°, by angle:
- 20.16 deg, I 67
- 34.81 deg, I 42
- 40.12 deg, I 55
- 40.43 deg, I 42
- 40.91 deg, I 65
- 41.01 deg, I 100
- 45.17 deg, I 44
- 45.45 deg, I 93
- 45.67 deg, I 44
- 46.56 deg, I 67

Theoretical XRD peak list
Compound: Sc6Zn5Rh
Radiation: Cu Kα
Structure: a structure optimized by DFT (PBE)

Atomic structure:
```
12
Lattice="2.346 -7.021 0.000 2.346 7.021 0.000 0.000 0.000 6.707" Properties=species:S:1:pos:R:3 pbc="T T T"
Sc 0.000 0.000 1.629
Sc 0.000 0.000 5.078
Sc 2.346 2.291 1.651
Sc 2.346 2.291 5.056
Sc 2.346 -2.291 1.651
Sc 2.346 -2.291 5.056
Zn 2.346 4.665 3.353
Zn 2.346 4.629 0.000
Zn 2.346 0.000 3.353
Zn 2.346 -4.629 0.000
Zn 2.346 -4.665 3.353
Rh 2.346 0.000 0.000
```

Most intense lines, 2θ = 10–90°, by angle:
- 26.58 deg, I 5
- 26.91 deg, I 9
- 38.18 deg, I 100
- 38.42 deg, I 49
- 54.75 deg, I 8
- 55.46 deg, I 16
- 68.86 deg, I 16
- 69.26 deg, I 15
- 69.39 deg, I 15
- 81.71 deg, I 9

Theoretical XRD peak list
Compound: ScZn2Rh4
Radiation: Cu Kα
Structure: a structure optimized by DFT (PBE)

Atomic structure:
```
14
Lattice="6.059 0.000 0.000 0.000 6.059 0.000 0.000 0.000 6.022" Properties=species:S:1:pos:R:3 pbc="T T T"
Sc 0.000 0.000 0.000
Sc 3.030 3.030 3.011
Zn 0.000 3.030 0.000
Zn 0.000 3.030 3.011
Zn 3.030 0.000 0.000
Zn 3.030 0.000 3.011
Rh 1.515 1.515 1.505
Rh 1.515 1.515 4.516
Rh 1.515 4.544 1.505
Rh 1.515 4.544 4.516
Rh 4.544 1.515 1.505
Rh 4.544 1.515 4.516
Rh 4.544 4.544 1.505
Rh 4.544 4.544 4.516
```

Most intense lines, 2θ = 10–90°, by angle:
- 20.75 deg, I 12
- 29.48 deg, I 20
- 29.67 deg, I 10
- 42.18 deg, I 50
- 42.32 deg, I 100
- 52.42 deg, I 8
- 61.19 deg, I 16
- 61.60 deg, I 8
- 77.21 deg, I 32
- 77.49 deg, I 16

Theoretical XRD peak list
Compound: Zr3ScRh
Radiation: Cu Kα
Structure: a structure optimized by DFT (PBE)

Atomic structure:
```
10
Lattice="3.897 -5.029 0.000 3.897 5.029 0.000 0.000 0.000 5.716" Properties=species:S:1:pos:R:3 pbc="T T T"
Zr 1.567 1.534 2.676
Zr 3.897 3.814 2.858
Zr 1.567 -1.534 5.534
Zr 6.226 1.534 2.676
Zr 3.897 -3.814 0.000
Zr 6.226 -1.534 5.534
Sc 3.897 0.927 4.548
Sc 3.897 -0.927 1.690
Rh 3.897 1.680 1.361
Rh 3.897 -1.680 4.219
```

Most intense lines, 2θ = 10–90°, by angle:
- 21.20 deg, I 16
- 23.56 deg, I 20
- 33.03 deg, I 100
- 34.60 deg, I 42
- 35.70 deg, I 37
- 39.12 deg, I 69
- 43.18 deg, I 41
- 56.81 deg, I 17
- 69.30 deg, I 19
- 74.96 deg, I 18

Theoretical XRD peak list
Compound: ZrSc2Rh3
Radiation: Cu Kα
Structure: a structure optimized by DFT (PBE)

Atomic structure:
```
12
Lattice="4.552 0.000 0.000 0.000 13.634 0.000 0.000 0.000 3.344" Properties=species:S:1:pos:R:3 pbc="T T T"
Zr 0.000 0.000 0.000
Zr 2.276 6.817 0.000
Sc 0.000 4.514 0.000
Sc 0.000 9.120 0.000
Sc 2.276 2.303 0.000
Sc 2.276 11.332 0.000
Rh 0.000 2.249 1.672
Rh 0.000 6.817 1.672
Rh 0.000 11.385 1.672
Rh 2.276 0.000 1.672
Rh 2.276 4.568 1.672
Rh 2.276 9.067 1.672
```

Most intense lines, 2θ = 10–90°, by angle:
- 26.66 deg, I 5
- 27.74 deg, I 9
- 38.85 deg, I 100
- 39.63 deg, I 47
- 48.40 deg, I 4
- 54.92 deg, I 9
- 57.29 deg, I 15
- 69.82 deg, I 17
- 71.39 deg, I 31
- 83.39 deg, I 10

Theoretical XRD peak list
Compound: RhSe2
Radiation: Cu Kα
Structure: a structure optimized by DFT (PBE)

Atomic structure:
```
12
Lattice="3.586 0.000 0.000 0.000 6.581 0.000 0.000 0.000 10.683" Properties=species:S:1:pos:R:3 pbc="T T T"
Rh 0.000 0.000 0.000
Rh 0.000 3.291 5.342
Rh 1.793 0.000 5.342
Rh 1.793 3.291 0.000
Se 0.000 1.164 4.033
Se 0.000 2.127 9.375
Se 0.000 4.455 1.308
Se 0.000 5.417 6.650
Se 1.793 1.164 1.308
Se 1.793 2.127 6.650
Se 1.793 4.455 4.033
Se 1.793 5.417 9.375
```

Most intense lines, 2θ = 10–90°, by angle:
- 16.60 deg, I 84
- 28.38 deg, I 29
- 31.94 deg, I 28
- 33.02 deg, I 100
- 38.15 deg, I 77
- 43.65 deg, I 46
- 49.45 deg, I 73
- 50.94 deg, I 29
- 51.71 deg, I 36
- 69.28 deg, I 23

Theoretical XRD peak list
Compound: RhSe2
Radiation: Cu Kα
Structure: a structure optimized by DFT (PBE)

Atomic structure:
```
12
Lattice="5.130 0.000 0.000 0.000 7.100 0.000 0.000 0.000 6.522" Properties=species:S:1:pos:R:3 pbc="T T T"
Rh 0.000 1.031 1.630
Rh 0.000 6.069 4.891
Rh 2.565 2.519 4.891
Rh 2.565 4.581 1.630
Se 1.159 2.883 0.414
Se 1.159 4.218 3.675
Se 1.406 0.667 3.675
Se 1.406 6.433 0.414
Se 3.724 0.667 6.108
Se 3.724 6.433 2.847
Se 3.971 2.883 2.847
Se 3.971 4.218 6.108
```

Most intense lines, 2θ = 10–90°, by angle:
- 21.37 deg, I 18
- 25.40 deg, I 92
- 32.54 deg, I 39
- 33.64 deg, I 100
- 34.97 deg, I 34
- 44.96 deg, I 55
- 45.81 deg, I 57
- 49.14 deg, I 54
- 70.71 deg, I 17
- 88.49 deg, I 19

Theoretical XRD peak list
Compound: Rh2Se3
Radiation: Cu Kα
Structure: a structure optimized by DFT (PBE)

Atomic structure:
```
20
Lattice="9.005 0.000 0.000 0.000 6.395 0.000 0.000 0.000 6.497" Properties=species:S:1:pos:R:3 pbc="T T T"
Rh 0.973 1.584 0.211
Rh 0.973 4.812 3.459
Rh 3.530 1.614 3.459
Rh 3.530 4.781 0.211
Rh 5.475 1.614 6.286
Rh 5.475 4.781 3.038
Rh 8.032 1.584 3.038
Rh 8.032 4.812 6.286
Se 0.000 2.911 4.872
Se 0.000 3.484 1.624
Se 1.363 0.702 2.564
Se 1.363 5.694 5.813
Se 3.140 2.496 5.813
Se 3.140 3.900 2.564
Se 4.502 0.287 1.624
Se 4.502 6.109 4.872
Se 5.865 2.496 3.932
Se 5.865 3.900 0.684
Se 7.642 0.702 0.684
Se 7.642 5.694 3.932
```

Most intense lines, 2θ = 10–90°, by angle:
- 27.46 deg, I 22
- 27.86 deg, I 71
- 31.17 deg, I 27
- 32.47 deg, I 23
- 32.76 deg, I 22
- 32.96 deg, I 45
- 39.55 deg, I 46
- 45.35 deg, I 28
- 48.79 deg, I 33
- 49.31 deg, I 100

Theoretical XRD peak list
Compound: Rh3Se4
Radiation: Cu Kα
Structure: a structure optimized by DFT (PBE)

Atomic structure:
```
14
Lattice="0.000 5.192 5.192 5.192 0.000 5.192 5.192 5.192 0.000" Properties=species:S:1:pos:R:3 pbc="T T T"
Rh 0.000 0.000 0.000
Rh 2.596 2.596 0.000
Rh 2.596 0.000 2.596
Rh 3.894 3.894 3.894
Rh 0.000 2.596 2.596
Rh 6.490 6.490 6.490
Se 7.879 5.102 5.102
Se 2.506 2.506 2.506
Se 5.283 5.283 2.506
Se 5.283 2.506 5.283
Se 5.102 7.879 5.102
Se 5.102 5.102 7.879
Se 7.879 7.879 7.879
Se 2.506 5.283 5.283
```

Most intense lines, 2θ = 10–90°, by angle:
- 14.78 deg, I 13
- 24.24 deg, I 23
- 28.51 deg, I 73
- 34.55 deg, I 64
- 45.38 deg, I 42
- 49.66 deg, I 100
- 61.91 deg, I 14
- 69.53 deg, I 15
- 72.87 deg, I 15
- 83.21 deg, I 17

Theoretical XRD peak list
Compound: Si4RhSe
Radiation: Cu Kα
Structure: a structure optimized by DFT (PBE)

Atomic structure:
```
6
Lattice="0.000 3.621 3.621 3.621 0.000 3.621 3.621 3.621 0.000" Properties=species:S:1:pos:R:3 pbc="T T T"
Si 0.906 0.906 0.906
Si 2.715 2.715 0.906
Si 2.715 0.906 2.715
Si 0.906 2.715 2.715
Rh 5.432 5.432 5.432
Se 3.621 3.621 3.621
```

Most intense lines, 2θ = 10–90°, by angle:
- 21.25 deg, I 29
- 35.04 deg, I 77
- 41.35 deg, I 100
- 43.28 deg, I 11
- 55.29 deg, I 7
- 62.86 deg, I 27
- 67.16 deg, I 31
- 74.05 deg, I 22
- 84.63 deg, I 12
- 88.53 deg, I 11